Record 1
NaAs2Pd7: theoretical PXRD pattern (Cu Kα (λ = 1.5418 Å)), based on a cell relaxed with GGA-PBE.
Neutral-atom scattering factors, no anomalous dispersion.

Main lines, in order of falling intensity (2θ = 5–70°):
d (Å)  I (rel.)
2.193  100
2.038  51
2.880  31
3.996  19
1.441  16
1.903  13
2.534  10
2.506  10
1.588  9
3.378  8

Crystal structure
a = 10.5367 Å, b = 10.5367 Å, c = 10.5367 Å
α = 157.69°, β = 157.69°, γ = 31.75°
Sites, in units of the cell vectors:
Na 0.0000 0.0000 0.0000
As 0.3294 0.3294 0.0000
As 0.6706 0.6706 0.0000
Pd 0.1023 0.6023 0.5000
Pd 0.2500 0.7500 0.5000
Pd 0.3977 0.8977 0.5000
Pd 0.5000 0.5000 0.0000
Pd 0.6023 0.1023 0.5000
Pd 0.7500 0.2500 0.5000
Pd 0.8977 0.3977 0.5000


Record 2
Na6As2Pd: theoretical PXRD pattern (Cu Kα (λ = 1.5418 Å)), based on a cell relaxed with GGA-PBE.
Neutral-atom scattering factors, no anomalous dispersion.

Main lines, in order of falling intensity (2θ = 5–70°):
d (Å)  I (rel.)
2.543  100
4.353  96
2.388  55
9.473  36
4.207  36
2.228  24
1.733  22
1.437  21
1.741  20
1.468  17

Crystal structure
a = 9.9174 Å, b = 9.9174 Å, c = 9.9174 Å
α = 29.72°, β = 29.72°, γ = 29.72°
Sites, in units of the cell vectors:
Na 0.0812 0.0812 0.0812
Na 0.1999 0.1999 0.1999
Na 0.3078 0.3078 0.3078
Na 0.6922 0.6922 0.6922
Na 0.8001 0.8001 0.8001
Na 0.9188 0.9188 0.9188
As 0.4117 0.4117 0.4117
As 0.5883 0.5883 0.5883
Pd 0.5000 0.5000 0.5000


Record 3
NaAs2Pd4: theoretical PXRD pattern (Cu Kα (λ = 1.5418 Å)), based on a cell relaxed with GGA-PBE.
Neutral-atom scattering factors, no anomalous dispersion.

Main lines, in order of falling intensity (2θ = 5–70°):
d (Å)  I (rel.)
2.113  100
2.624  83
1.935  80
5.638  74
2.279  55
1.368  33
2.521  30
3.987  20
2.192  15
3.485  15

Crystal structure
a = 7.9731 Å, b = 7.9731 Å, c = 3.8745 Å
α = 90.00°, β = 90.00°, γ = 90.00°
Sites, in units of the cell vectors:
Na 0.0000 0.0000 0.0000
Na 0.5000 0.5000 0.5000
As 0.2293 0.2293 0.5000
As 0.2707 0.7293 0.0000
As 0.7293 0.2707 0.0000
As 0.7707 0.7707 0.5000
Pd 0.0747 0.6725 0.5000
Pd 0.1725 0.4253 0.0000
Pd 0.3275 0.9253 0.5000
Pd 0.4253 0.1725 0.0000
Pd 0.5747 0.8275 0.0000
Pd 0.6725 0.0747 0.5000
Pd 0.8275 0.5747 0.0000
Pd 0.9253 0.3275 0.5000


Record 4
NaPrAs2Pd4: theoretical PXRD pattern (Cu Kα (λ = 1.5418 Å)), based on a cell relaxed with GGA-PBE.
Neutral-atom scattering factors, no anomalous dispersion.

Main lines, in order of falling intensity (2θ = 5–70°):
d (Å)  I (rel.)
2.527  100
2.222  81
2.043  60
3.804  50
5.215  49
10.430  44
3.216  37
2.198  22
1.444  19
1.459  18

Crystal structure
a = 4.0852 Å, b = 4.0852 Å, c = 10.4301 Å
α = 90.00°, β = 90.00°, γ = 90.00°
Sites, in units of the cell vectors:
Na 0.0000 0.0000 0.0000
Pr 0.0000 0.0000 0.5000
As 0.5000 0.5000 0.1526
As 0.5000 0.5000 0.8474
Pd 0.0000 0.5000 0.2866
Pd 0.0000 0.5000 0.7134
Pd 0.5000 0.0000 0.2866
Pd 0.5000 0.0000 0.7134


Record 5
Na2As4Pd3Pt: theoretical PXRD pattern (Cu Kα (λ = 1.5418 Å)), based on a cell relaxed with GGA-PBE.
Neutral-atom scattering factors, no anomalous dispersion.

Main lines, in order of falling intensity (2θ = 5–70°):
d (Å)  I (rel.)
2.649  100
1.967  94
2.194  83
5.088  74
4.029  61
2.684  37
1.551  27
2.015  26
1.698  23
10.177  22

Crystal structure
a = 4.3875 Å, b = 4.3875 Å, c = 10.1768 Å
α = 90.00°, β = 90.00°, γ = 90.00°
Sites, in units of the cell vectors:
Na 0.0000 0.5000 0.2479
Na 0.5000 0.0000 0.7521
As 0.0000 0.0000 0.5000
As 0.0000 0.5000 0.8737
As 0.5000 0.0000 0.1263
As 0.5000 0.5000 0.5000
Pd 0.0000 0.0000 0.0000
Pd 0.0000 0.5000 0.6290
Pd 0.5000 0.0000 0.3710
Pt 0.5000 0.5000 0.0000


Record 6
Na3SbAs2Pd9: theoretical PXRD pattern (Cu Kα (λ = 1.5418 Å)), based on a cell relaxed with GGA-PBE.
Neutral-atom scattering factors, no anomalous dispersion.

Main lines, in order of falling intensity (2θ = 5–70°):
d (Å)  I (rel.)
2.392  100
4.783  89
2.714  47
2.095  35
2.189  34
2.042  32
8.763  28
1.648  27
1.737  21
5.709  19

Crystal structure
a = 6.5919 Å, b = 6.5919 Å, c = 8.7633 Å
α = 90.00°, β = 90.00°, γ = 120.00°
Sites, in units of the cell vectors:
Na 0.0000 0.0000 0.0000
Na 0.3333 0.6667 0.6983
Na 0.6667 0.3333 0.3017
Sb 0.0000 0.0000 0.5000
As 0.3333 0.6667 0.1757
As 0.6667 0.3333 0.8243
Pd 0.0000 0.5000 0.0000
Pd 0.1398 0.2797 0.2647
Pd 0.1398 0.8602 0.2647
Pd 0.2797 0.1398 0.7353
Pd 0.5000 0.0000 0.0000
Pd 0.5000 0.5000 0.0000
Pd 0.7203 0.8602 0.2647
Pd 0.8602 0.1398 0.7353
Pd 0.8602 0.7203 0.7353


Record 7
Na2Sb2As2Pd5: theoretical PXRD pattern (Cu Kα (λ = 1.5418 Å)), based on a cell relaxed with GGA-PBE.
Neutral-atom scattering factors, no anomalous dispersion.

Main lines, in order of falling intensity (2θ = 5–70°):
d (Å)  I (rel.)
6.672  100
2.308  59
4.097  49
1.838  42
2.333  41
2.932  38
2.495  25
2.181  23
1.632  20
1.694  15

Crystal structure
a = 13.7368 Å, b = 13.7368 Å, c = 13.7368 Å
α = 160.66°, β = 160.66°, γ = 27.49°
Sites, in units of the cell vectors:
Na 0.2062 0.2062 0.0000
Na 0.7938 0.7938 0.0000
Sb 0.3267 0.3267 0.0000
Sb 0.6733 0.6733 0.0000
As 0.0884 0.0884 0.0000
As 0.9116 0.9116 0.0000
Pd 0.0000 0.0000 0.0000
Pd 0.1219 0.6219 0.5000
Pd 0.3781 0.8781 0.5000
Pd 0.6219 0.1219 0.5000
Pd 0.8781 0.3781 0.5000


Record 8
Na2TeAsPd6: theoretical PXRD pattern (Cu Kα (λ = 1.5418 Å)), based on a cell relaxed with GGA-PBE.
Neutral-atom scattering factors, no anomalous dispersion.

Main lines, in order of falling intensity (2θ = 5–70°):
d (Å)  I (rel.)
2.143  100
4.416  84
4.901  83
2.035  80
2.208  70
2.640  58
2.451  49
7.340  47
2.358  43
2.594  33

Crystal structure
a = 6.5848 Å, b = 8.8330 Å, c = 7.3400 Å
α = 90.00°, β = 90.00°, γ = 90.00°
Sites, in units of the cell vectors:
Na 0.2500 0.0413 0.1927
Na 0.2500 0.4587 0.1927
Na 0.7500 0.5413 0.8073
Na 0.7500 0.9587 0.8073
Te 0.2500 0.7500 0.7615
Te 0.7500 0.2500 0.2385
As 0.2500 0.2500 0.7572
As 0.7500 0.7500 0.2428
Pd 0.0381 0.7500 0.4514
Pd 0.0456 0.7500 0.0616
Pd 0.2500 0.0099 0.5925
Pd 0.2500 0.4901 0.5925
Pd 0.4544 0.7500 0.0616
Pd 0.4619 0.7500 0.4514
Pd 0.5381 0.2500 0.5486
Pd 0.5456 0.2500 0.9384
Pd 0.7500 0.5099 0.4075
Pd 0.7500 0.9901 0.4075
Pd 0.9544 0.2500 0.9384
Pd 0.9619 0.2500 0.5486